Starting from DFT lattice parameters and positions (PBE+U), the powder diffraction line list of K3NiAg2F8 was computed for Cu Kα, 1.54184 Å.
Lines closer than 0.1° are merged.

Top 10 peaks for 10 to 90 degrees two-theta, by intensity:
- 2θ = 30.8°, 2.907 Å, rel. 100.0, (1 1 0)
- 2θ = 20.7°, 4.298 Å, rel. 76.3, (1 0 1)
- 2θ = 28.0°, 3.191 Å, rel. 75.5, (0 1 2)
- 2θ = 42.0°, 2.149 Å, rel. 53.9, (2 0 2)
- 2θ = 49.1°, 1.855 Å, rel. 25.8, (2 1 1)
- 2θ = 53.0°, 1.728 Å, rel. 23.4, (1 2 2)
- 2θ = 47.6°, 1.909 Å, rel. 19.7, (1 0 4)
- 2θ = 57.8°, 1.595 Å, rel. 18.7, (0 2 4)
- 2θ = 45.4°, 1.998 Å, rel. 18.4, (1 1 3)
- 2θ = 64.1°, 1.453 Å, rel. 18.3, (2 2 0)

```
data_K3NiAg2F8
_space_group_name_H-M_alt 'P -3 m 1'
_space_group_IT_number 164
_space_group_name_Hall '-P 3 2"'
_cell_length_a 5.8137
_cell_length_b 5.8137
_cell_length_c 8.2506
_cell_angle_alpha 90.00
_cell_angle_beta 90.00
_cell_angle_gamma 120.00
loop_
_atom_site_label
_atom_site_type_symbol
_atom_site_fract_x
_atom_site_fract_y
_atom_site_fract_z
K1 K 0.0000 0.0000 0.0000
K2 K 0.3333 0.6667 0.6184
Ni1 Ni 0.0000 0.0000 0.5000
Ag1 Ag 0.3333 0.6667 0.1828
F1 F 0.1585 0.3170 0.3574
F2 F 0.3333 0.6667 0.9256
```